1.
Theoretical XRD peak list
Compound: Fe4TcF12
Radiation: Cu Kα
Structure: a GGA+U-relaxed structure
Intensities are scaled so that the largest is 100.

Peak list (6 most intense, 10° ≤ 2θ ≤ 80°, by angle)
2θ/deg	d (Å)	Rel. int.
15.40	5.754	100
15.65	5.664	80
16.15	5.489	76
31.09	2.877	74
31.59	2.832	76
42.97	2.105	85

Crystal structure
```
data_Fe4TcF12
_chemical_formula_sum 'Fe4 Tc1 F12'
_space_group_name_H-M_alt 'P 1'
_space_group_IT_number 1
_cell_length_a 6.9205
_cell_length_b 6.9205
_cell_length_c 6.9205
_cell_angle_alpha 112.87
_cell_angle_beta 110.60
_cell_angle_gamma 105.04
loop_
_space_group_symop_operation_xyz
'x,y,z'
loop_
_atom_site_label
_atom_site_fract_x
_atom_site_fract_y
_atom_site_fract_z
Fe1 0.0000 0.0000 0.5000
Fe2 0.0000 0.5000 0.0000
Fe3 0.5000 0.0000 0.0000
Fe4 0.5000 0.5000 0.5000
Tc1 0.0000 0.0000 0.0000
F1 0.0205 0.7190 0.3014
F2 0.1896 0.1804 0.3700
F3 0.1896 0.8196 0.0092
F4 0.2671 0.0760 0.8089
F5 0.2671 0.4582 0.1911
F6 0.4176 0.7190 0.6986
F7 0.5824 0.2810 0.3014
F8 0.7329 0.5418 0.8089
F9 0.7329 0.9240 0.1911
F10 0.8104 0.1804 0.9908
F11 0.8104 0.8196 0.6300
F12 0.9795 0.2810 0.6986
```

---

2.
Theoretical XRD peak list
Compound: FeTc2F11
Radiation: Cu Kα
Structure: a GGA+U-relaxed structure
Intensities are scaled so that the largest is 100.

Peak list (6 most intense, 10° ≤ 2θ ≤ 80°, by angle)
2θ/deg	d (Å)	Rel. int.
17.46	5.078	60
22.56	3.941	76
23.84	3.733	100
24.48	3.637	57
27.13	3.287	41
47.15	1.927	45

Crystal structure
```
data_FeTc2F11
_chemical_formula_sum 'Fe2 Tc4 F22'
_space_group_name_H-M_alt 'P 1'
_space_group_IT_number 1
_cell_length_a 8.0589
_cell_length_b 8.0589
_cell_length_c 8.0589
_cell_angle_alpha 115.29
_cell_angle_beta 111.52
_cell_angle_gamma 101.89
loop_
_space_group_symop_operation_xyz
'x,y,z'
loop_
_atom_site_label
_atom_site_fract_x
_atom_site_fract_y
_atom_site_fract_z
Fe1 0.2500 0.2500 0.0000
Fe2 0.7500 0.7500 0.0000
Tc1 0.1545 0.6748 0.8293
Tc2 0.3455 0.1748 0.5203
Tc3 0.6545 0.8252 0.4797
Tc4 0.8455 0.3252 0.1707
F1 0.0000 0.5000 0.5000
F2 0.0808 0.3293 0.1447
F3 0.1038 0.9335 0.3095
F4 0.1239 0.4335 0.8296
F5 0.1846 0.9361 0.8553
F6 0.1968 0.3192 0.5160
F7 0.3032 0.8192 0.1224
F8 0.3154 0.1707 0.7515
F9 0.3761 0.2057 0.3095
F10 0.3962 0.7057 0.8296
F11 0.4192 0.5639 0.2485
F12 0.5000 0.0000 0.5000
F13 0.5808 0.4361 0.7515
F14 0.6038 0.2943 0.1704
F15 0.6239 0.7943 0.6905
F16 0.6846 0.8293 0.2485
F17 0.6968 0.1808 0.8776
F18 0.8032 0.6808 0.4840
F19 0.8154 0.0639 0.1447
F20 0.8761 0.5665 0.1704
F21 0.8962 0.0665 0.6905
F22 0.9192 0.6707 0.8553
```

---

3.
Theoretical XRD peak list
Compound: TlFe4F8
Radiation: Cu Kα
Structure: a GGA+U-relaxed structure
Intensities are scaled so that the largest is 100.

Peak list (6 most intense, 10° ≤ 2θ ≤ 80°, by angle)
2θ/deg	d (Å)	Rel. int.
25.57	3.484	100
26.18	3.404	99
28.17	3.168	94
32.64	2.743	94
32.77	2.733	82
37.10	2.423	98

Crystal structure
```
data_TlFe4F8
_chemical_formula_sum 'Tl1 Fe4 F8'
_space_group_name_H-M_alt 'P 1'
_space_group_IT_number 1
_cell_length_a 7.8261
_cell_length_b 7.8261
_cell_length_c 10.6782
_cell_angle_alpha 132.19
_cell_angle_beta 132.19
_cell_angle_gamma 24.43
loop_
_space_group_symop_operation_xyz
'x,y,z'
loop_
_atom_site_label
_atom_site_fract_x
_atom_site_fract_y
_atom_site_fract_z
Tl1 0.0000 0.0000 0.0000
Fe1 0.1488 0.1488 0.4834
Fe2 0.3398 0.3398 0.1851
Fe3 0.6602 0.6602 0.8149
Fe4 0.8512 0.8512 0.5166
F1 0.0356 0.0356 0.7020
F2 0.2878 0.2878 0.9463
F3 0.3332 0.3332 0.6303
F4 0.3470 0.3470 0.3836
F5 0.6530 0.6530 0.6164
F6 0.6668 0.6668 0.3697
F7 0.7122 0.7122 0.0537
F8 0.9644 0.9644 0.2980
```

---

4.
Theoretical XRD peak list
Compound: Tl2Fe3F10
Radiation: Cu Kα
Structure: a GGA+U-relaxed structure
Intensities are scaled so that the largest is 100.

Peak list (6 most intense, 10° ≤ 2θ ≤ 80°, by angle)
2θ/deg	d (Å)	Rel. int.
20.52	4.329	20
26.46	3.369	34
26.70	3.339	100
27.89	3.199	54
37.08	2.424	27
39.84	2.263	29

Crystal structure
```
data_Tl2Fe3F10
_chemical_formula_sum 'Tl4 Fe6 F20'
_space_group_name_H-M_alt 'P 1'
_space_group_IT_number 1
_cell_length_a 10.1055
_cell_length_b 10.1055
_cell_length_c 8.0770
_cell_angle_alpha 111.98
_cell_angle_beta 111.98
_cell_angle_gamma 36.98
loop_
_space_group_symop_operation_xyz
'x,y,z'
loop_
_atom_site_label
_atom_site_fract_x
_atom_site_fract_y
_atom_site_fract_z
Tl1 0.1089 0.1089 0.2163
Tl2 0.2061 0.2061 0.8298
Tl3 0.7939 0.7939 0.1702
Tl4 0.8911 0.8911 0.7837
Fe1 0.2468 0.7532 0.5000
Fe2 0.3176 0.3176 0.4872
Fe3 0.4221 0.4221 0.0327
Fe4 0.5779 0.5779 0.9673
Fe5 0.6824 0.6824 0.5128
Fe6 0.7532 0.2468 0.5000
F1 0.0000 0.5000 0.5000
F2 0.0193 0.0193 0.6780
F3 0.1345 0.5838 0.0290
F4 0.1718 0.6071 0.4824
F5 0.2641 0.2641 0.2384
F6 0.3073 0.6927 0.0000
F7 0.3655 0.3655 0.7533
F8 0.3929 0.8282 0.5176
F9 0.4162 0.8655 0.9710
F10 0.4747 0.4747 0.2996
F11 0.5000 0.0000 0.5000
F12 0.5253 0.5253 0.7004
F13 0.5838 0.1345 0.0290
F14 0.6071 0.1718 0.4824
F15 0.6345 0.6345 0.2467
F16 0.6927 0.3073 0.0000
F17 0.7359 0.7359 0.7616
F18 0.8282 0.3929 0.5176
F19 0.8655 0.4162 0.9710
F20 0.9807 0.9807 0.3220
```

---

5.
Theoretical XRD peak list
Compound: TlFe2F8
Radiation: Cu Kα
Structure: a GGA+U-relaxed structure
Intensities are scaled so that the largest is 100.

Peak list (6 most intense, 10° ≤ 2θ ≤ 80°, by angle)
2θ/deg	d (Å)	Rel. int.
14.59	6.072	54
25.41	3.506	100
26.83	3.323	88
34.12	2.628	36
37.29	2.412	30
45.66	1.987	39

Crystal structure
```
data_TlFe2F8
_chemical_formula_sum 'Tl1 Fe2 F8'
_space_group_name_H-M_alt 'P 1'
_space_group_IT_number 1
_cell_length_a 7.0115
_cell_length_b 7.0115
_cell_length_c 3.9695
_cell_angle_alpha 90.00
_cell_angle_beta 90.00
_cell_angle_gamma 120.00
loop_
_space_group_symop_operation_xyz
'x,y,z'
loop_
_atom_site_label
_atom_site_fract_x
_atom_site_fract_y
_atom_site_fract_z
Tl1 0.0000 0.0000 0.0000
Fe1 0.3333 0.6667 0.2557
Fe2 0.6667 0.3333 0.7443
F1 0.1780 0.8189 0.2589
F2 0.1811 0.3591 0.2589
F3 0.3333 0.6667 0.7557
F4 0.3591 0.1780 0.7411
F5 0.6409 0.8220 0.2589
F6 0.6667 0.3333 0.2443
F7 0.8189 0.6409 0.7411
F8 0.8220 0.1811 0.7411
```

---

6.
Theoretical XRD peak list
Compound: Tl3Fe2F9
Radiation: Cu Kα
Structure: a GGA+U-relaxed structure
Intensities are scaled so that the largest is 100.

Peak list (6 most intense, 10° ≤ 2θ ≤ 80°, by angle)
2θ/deg	d (Å)	Rel. int.
20.12	4.413	84
23.81	3.736	61
28.98	3.081	100
33.10	2.706	42
35.54	2.526	38
37.85	2.377	38

Crystal structure
```
data_Tl3Fe2F9
_chemical_formula_sum 'Tl6 Fe4 F18'
_space_group_name_H-M_alt 'P 1'
_space_group_IT_number 1
_cell_length_a 6.1615
_cell_length_b 6.1615
_cell_length_c 15.7003
_cell_angle_alpha 90.00
_cell_angle_beta 90.00
_cell_angle_gamma 120.00
loop_
_space_group_symop_operation_xyz
'x,y,z'
loop_
_atom_site_label
_atom_site_fract_x
_atom_site_fract_y
_atom_site_fract_z
Tl1 0.0000 0.0000 0.2500
Tl2 0.0000 0.0000 0.7500
Tl3 0.3333 0.6667 0.0695
Tl4 0.3333 0.6667 0.4305
Tl5 0.6667 0.3333 0.5695
Tl6 0.6667 0.3333 0.9305
Fe1 0.3333 0.6667 0.6581
Fe2 0.3333 0.6667 0.8419
Fe3 0.6667 0.3333 0.1581
Fe4 0.6667 0.3333 0.3419
F1 0.0560 0.5280 0.7500
F2 0.1815 0.3631 0.5966
F3 0.1815 0.3631 0.9034
F4 0.1815 0.8185 0.5966
F5 0.1815 0.8185 0.9034
F6 0.3631 0.1815 0.0966
F7 0.3631 0.1815 0.4034
F8 0.4720 0.5280 0.7500
F9 0.4720 0.9440 0.7500
F10 0.5280 0.0560 0.2500
F11 0.5280 0.4720 0.2500
F12 0.6369 0.8185 0.5966
F13 0.6369 0.8185 0.9034
F14 0.8185 0.1815 0.0966
F15 0.8185 0.1815 0.4034
F16 0.8185 0.6369 0.0966
F17 0.8185 0.6369 0.4034
F18 0.9440 0.4720 0.2500
```

---

7.
Theoretical XRD peak list
Compound: TlFe3F9
Radiation: Cu Kα
Structure: a GGA+U-relaxed structure
Intensities are scaled so that the largest is 100.

Peak list (6 most intense, 10° ≤ 2θ ≤ 80°, by angle)
2θ/deg	d (Å)	Rel. int.
13.43	6.594	35
26.30	3.389	88
27.05	3.297	100
32.67	2.741	55
47.78	1.903	32
54.13	1.694	28

Crystal structure
```
data_TlFe3F9
_chemical_formula_sum 'Tl1 Fe3 F9'
_space_group_name_H-M_alt 'P 1'
_space_group_IT_number 1
_cell_length_a 7.6136
_cell_length_b 7.6136
_cell_length_c 3.9506
_cell_angle_alpha 90.00
_cell_angle_beta 90.00
_cell_angle_gamma 120.00
loop_
_space_group_symop_operation_xyz
'x,y,z'
loop_
_atom_site_label
_atom_site_fract_x
_atom_site_fract_y
_atom_site_fract_z
Tl1 0.0000 0.0000 0.0000
Fe1 0.0000 0.5000 0.5000
Fe2 0.5000 0.0000 0.5000
Fe3 0.5000 0.5000 0.5000
F1 0.0000 0.5000 0.0000
F2 0.2040 0.4080 0.5000
F3 0.2040 0.7960 0.5000
F4 0.4080 0.2040 0.5000
F5 0.5000 0.0000 0.0000
F6 0.5000 0.5000 0.0000
F7 0.5920 0.7960 0.5000
F8 0.7960 0.2040 0.5000
F9 0.7960 0.5920 0.5000
```

---

8.
Theoretical XRD peak list
Compound: TlFe2F6
Radiation: Cu Kα
Structure: a GGA+U-relaxed structure
Intensities are scaled so that the largest is 100.

Peak list (6 most intense, 10° ≤ 2θ ≤ 80°, by angle)
2θ/deg	d (Å)	Rel. int.
18.61	4.768	17
23.87	3.728	100
32.53	2.753	22
40.75	2.214	20
44.74	2.025	34
53.08	1.725	22

Crystal structure
```
data_TlFe2F6
_chemical_formula_sum 'Tl1 Fe2 F6'
_space_group_name_H-M_alt 'P 1'
_space_group_IT_number 1
_cell_length_a 5.5053
_cell_length_b 5.5053
_cell_length_c 5.9820
_cell_angle_alpha 90.00
_cell_angle_beta 90.00
_cell_angle_gamma 120.00
loop_
_space_group_symop_operation_xyz
'x,y,z'
loop_
_atom_site_label
_atom_site_fract_x
_atom_site_fract_y
_atom_site_fract_z
Tl1 0.0000 0.0000 0.0000
Fe1 0.3333 0.6667 0.5000
Fe2 0.6667 0.3333 0.5000
F1 0.0000 0.3801 0.6805
F2 0.0000 0.6199 0.3195
F3 0.3801 0.0000 0.6805
F4 0.3801 0.3801 0.3195
F5 0.6199 0.0000 0.3195
F6 0.6199 0.6199 0.6805
```

---

9.
Theoretical XRD peak list
Compound: TlFeF2
Radiation: Cu Kα
Structure: a GGA+U-relaxed structure
Intensities are scaled so that the largest is 100.

Peak list (6 most intense, 10° ≤ 2θ ≤ 80°, by angle)
2θ/deg	d (Å)	Rel. int.
17.61	5.037	26
27.64	3.228	100
31.43	2.847	34
36.25	2.478	20
46.34	1.959	26
53.66	1.708	32

Crystal structure
```
data_TlFeF2
_chemical_formula_sum 'Tl2 Fe2 F4'
_space_group_name_H-M_alt 'P 1'
_space_group_IT_number 1
_cell_length_a 6.7370
_cell_length_b 6.7370
_cell_length_c 6.7370
_cell_angle_alpha 130.01
_cell_angle_beta 130.01
_cell_angle_gamma 73.39
loop_
_space_group_symop_operation_xyz
'x,y,z'
loop_
_atom_site_label
_atom_site_fract_x
_atom_site_fract_y
_atom_site_fract_z
Tl1 0.0000 0.0000 0.0000
Tl2 0.7500 0.2500 0.5000
Fe1 0.2500 0.7500 0.5000
Fe2 0.5000 0.5000 0.0000
F1 0.3076 0.6250 0.1826
F2 0.3750 0.5576 0.6826
F3 0.4424 0.1250 0.8174
F4 0.8750 0.6924 0.3174
```

---

10.
Theoretical XRD peak list
Compound: Fe4WF12
Radiation: Cu Kα
Structure: a GGA+U-relaxed structure
Intensities are scaled so that the largest is 100.

Peak list (6 most intense, 10° ≤ 2θ ≤ 80°, by angle)
2θ/deg	d (Å)	Rel. int.
15.15	5.846	70
15.93	5.562	100
26.87	3.318	41
32.19	2.781	52
43.80	2.067	28
55.38	1.659	30

Crystal structure
```
data_Fe4WF12
_chemical_formula_sum 'Fe4 W1 F12'
_space_group_name_H-M_alt 'P 1'
_space_group_IT_number 1
_cell_length_a 6.9503
_cell_length_b 6.9503
_cell_length_c 6.9503
_cell_angle_alpha 107.00
_cell_angle_beta 107.00
_cell_angle_gamma 114.53
loop_
_space_group_symop_operation_xyz
'x,y,z'
loop_
_atom_site_label
_atom_site_fract_x
_atom_site_fract_y
_atom_site_fract_z
Fe1 0.0000 0.0000 0.5000
Fe2 0.0000 0.5000 0.0000
Fe3 0.5000 0.0000 0.0000
Fe4 0.5000 0.5000 0.5000
W1 0.0000 0.0000 0.0000
F1 0.0446 0.8342 0.2104
F2 0.1658 0.3762 0.2104
F3 0.1658 0.9554 0.7896
F4 0.3008 0.3008 0.6016
F5 0.3008 0.6992 0.0000
F6 0.3762 0.1658 0.2104
F7 0.6238 0.8342 0.7896
F8 0.6992 0.3008 0.0000
F9 0.6992 0.6992 0.3984
F10 0.8342 0.0446 0.2104
F11 0.8342 0.6238 0.7896
F12 0.9554 0.1658 0.7896
```

---

11.
Theoretical XRD peak list
Compound: YFe2F11
Radiation: Cu Kα
Structure: a GGA+U-relaxed structure
Intensities are scaled so that the largest is 100.

Peak list (6 most intense, 10° ≤ 2θ ≤ 80°, by angle)
2θ/deg	d (Å)	Rel. int.
22.66	3.924	100
24.58	3.622	60
26.99	3.304	73
46.27	1.962	45
47.99	1.896	37
48.74	1.868	33

Crystal structure
```
data_YFe2F11
_chemical_formula_sum 'Y2 Fe4 F22'
_space_group_name_H-M_alt 'P 1'
_space_group_IT_number 1
_cell_length_a 7.9764
_cell_length_b 7.9764
_cell_length_c 7.9764
_cell_angle_alpha 114.24
_cell_angle_beta 114.24
_cell_angle_gamma 100.30
loop_
_space_group_symop_operation_xyz
'x,y,z'
loop_
_atom_site_label
_atom_site_fract_x
_atom_site_fract_y
_atom_site_fract_z
Y1 0.2500 0.2500 0.0000
Y2 0.7500 0.7500 0.0000
Fe1 0.1701 0.6701 0.8402
Fe2 0.3299 0.1701 0.5000
Fe3 0.6701 0.8299 0.5000
Fe4 0.8299 0.3299 0.1598
F1 0.0000 0.5000 0.5000
F2 0.0697 0.3503 0.1544
F3 0.0847 0.9303 0.2807
F4 0.1497 0.4303 0.8456
F5 0.1829 0.3171 0.5000
F6 0.1960 0.9153 0.8456
F7 0.3040 0.1497 0.7193
F8 0.3171 0.8171 0.1343
F9 0.3503 0.1960 0.2807
F10 0.4153 0.6960 0.8456
F11 0.4303 0.5847 0.2807
F12 0.5000 0.0000 0.5000
F13 0.5697 0.4153 0.7193
F14 0.5847 0.3040 0.1544
F15 0.6497 0.8040 0.7193
F16 0.6829 0.1829 0.8657
F17 0.6960 0.8503 0.2807
F18 0.8040 0.0847 0.1544
F19 0.8171 0.6829 0.5000
F20 0.8503 0.5697 0.1544
F21 0.9153 0.0697 0.7193
F22 0.9303 0.6497 0.8456
```